[1]
Diffraction record for La3SiN3O2. The XRD peak list is computed, not measured: it uses DFT lattice parameters and positions (PBE) and copper Kα.

Unit cell a=9.740 b=11.178 c=9.569 alpha=90.00 beta=90.00 gamma=90.00
Space group Fmm2 (No. 42)
Unique sites:
La 0.000 0.000 0.000 (multiplicity 4)
La 0.000 0.000 0.346 (multiplicity 4)
La 0.179 0.000 0.667 (multiplicity 8)
La 0.250 0.250 0.425 (multiplicity 8)
Si 0.000 0.248 0.165 (multiplicity 8)
N 0.000 0.151 0.528 (multiplicity 8)
N 0.141 0.151 0.169 (multiplicity 16)
O 0.000 0.153 0.806 (multiplicity 8)
O 0.242 0.000 0.919 (multiplicity 8)

Peak list (6 most intense, 10 to 90 degrees two-theta, most intense first)
- (2 2 2), d 2.913, I = 100
- (0 4 0), d 2.794, I = 39
- (3 3 1), d 2.371, I = 33
- (1 3 3), d 2.351, I = 32
- (3 1 1), d 2.964, I = 32
- (1 1 3), d 2.926, I = 30

***

[2]
Diffraction record for Tb2NiSb4. The XRD peak list is computed, not measured: it uses DFT lattice parameters and positions (PBE) and copper Kα.

Unit cell a=4.347 b=4.347 c=9.328 alpha=90.00 beta=90.00 gamma=90.00
Space group P-4m2 (No. 115)
Unique sites:
Tb 0.000 0.500 0.236 (multiplicity 2)
Ni 0.000 0.000 0.000 (multiplicity 1)
Sb 0.000 0.000 0.500 (multiplicity 1)
Sb 0.000 0.500 0.871 (multiplicity 2)
Sb 0.500 0.500 0.500 (multiplicity 1)

Peak list (6 most intense, 10 to 90 degrees two-theta, most intense first)
- (1 1 2), d 2.567, I = 100
- (2 0 0), d 2.174, I = 58
- (1 0 3), d 2.529, I = 53
- (1 1 1), d 2.920, I = 49
- (2 1 3), d 1.648, I = 28
- (3 1 2), d 1.319, I = 24

***

[3]
Diffraction record for Ac2Mg. The XRD peak list is computed, not measured: it uses DFT lattice parameters and positions (PBE) and copper Kα.

Unit cell a=4.092 b=18.730 c=6.075 alpha=90.00 beta=90.00 gamma=90.00
Space group Cmcm (No. 63)
Unique sites:
Ac 0.000 0.083 0.250 (multiplicity 4)
Ac 0.000 0.228 0.750 (multiplicity 4)
Mg 0.000 0.429 0.250 (multiplicity 4)

Peak list (6 most intense, 10 to 90 degrees two-theta, most intense first)
- (1 3 1), d 2.982, I = 100
- (0 4 1), d 3.709, I = 34
- (0 0 2), d 3.037, I = 29
- (0 6 0), d 3.122, I = 22
- (1 3 3), d 1.743, I = 22
- (1 1 0), d 3.998, I = 20